For LiCo2O4, a DFT-relaxed cell (PBE+U, the Materials Project) gives the calculated PXRD pattern in this record (λ = 1.5418 Å (Cu Kα)).
Peak positions follow from Bragg's law for the DFT cell and can differ from measured ones.

Structure:
```
LiCo2O4
1.0
1.407 0.812 9.424
-1.407 0.812 9.424
0.000 -1.625 9.424
Li Co O
1 2 4
Direct
0.000 0.000 0.000 Li
0.416 0.416 0.416 Co
0.911 0.911 0.911 Co
0.114 0.114 0.114 O
0.282 0.282 0.282 O
0.547 0.547 0.547 O
0.712 0.712 0.712 O
```

Peak list (10 most intense, 10° ≤ 2θ ≤ 90°, sorted by position)
2theta	I (rel.)
18.8	100
37.4	25
39.1	24
43.4	6
45.2	24
49.4	23
59.4	14
65.2	9
66.4	14
69.7	13